[1]
This entry pairs a crystal structure of SnPb3Se6 with its simulated powder X-ray diffraction pattern. Radiation: Cu Kα (weighted mean of Kα1 and Kα2). Structure: DFT lattice parameters and positions (GGA-PBE).
No peak broadening, texture or thermal motion is included.

```
SnPb3Se6
1.0
0.000 5.609 5.756
4.905 0.000 5.756
4.905 5.609 0.000
Sn Pb Se
1 3 6
direct
0.000 0.000 0.000
0.250 0.250 0.250
0.500 0.500 0.500
0.750 0.750 0.750
0.093 0.907 0.631
0.243 0.243 0.757
0.369 0.631 0.907
0.631 0.369 0.093
0.757 0.757 0.243
0.907 0.093 0.369
```

Largest 10 diffraction maxima, by angle, 5° ≤ 2θ ≤ 70°:
22.13°, I 36.9; 24.10°, I 100.0; 31.07°, I 43.8; 36.64°, I 26.8; 39.71°, I 55.0; 40.22°, I 45.6; 43.22°, I 14.2; 48.78°, I 24.1; 61.54°, I 13.4; 64.77°, I 13.0

***

[2]
This entry pairs a crystal structure of PaBiTeO6 with its simulated powder X-ray diffraction pattern. Radiation: Cu Kα (weighted mean of Kα1 and Kα2). Structure: DFT lattice parameters and positions (GGA-PBE).
No peak broadening, texture or thermal motion is included.

```
PaBiTeO6
1.0
5.825 0.000 0.000
-2.912 5.044 0.000
0.000 0.000 9.762
Pa Bi Te O
2 2 2 12
direct
0.333 0.667 0.250
0.667 0.333 0.750
0.000 0.000 0.000
0.000 0.000 0.500
0.333 0.667 0.750
0.667 0.333 0.250
0.001 0.350 0.136
0.001 0.651 0.364
0.349 0.350 0.364
0.349 0.999 0.136
0.350 0.001 0.636
0.350 0.349 0.864
0.650 0.651 0.136
0.650 0.999 0.364
0.651 0.001 0.864
0.651 0.650 0.636
0.999 0.349 0.636
0.999 0.650 0.864
```

Largest 10 diffraction maxima, by angle, 5° ≤ 2θ ≤ 70°:
25.39°, I 100.0; 30.70°, I 54.2; 36.82°, I 11.4; 40.25°, I 30.0; 48.68°, I 45.4; 51.46°, I 30.1; 54.58°, I 17.6; 59.72°, I 9.6; 67.67°, I 11.8; 69.95°, I 12.7